This entry pairs a crystal structure of Cs2Np3S6 with its calculated powder diffractogram. Radiation: a wavelength of 1.5418 Å. Structure: a cell relaxed with PBE.
Lines closer than 0.1° are merged.

Largest 8 diffraction maxima, low angle first, 2θ from 10° to 80°:
10.75°, intensity 72; 21.60°, intensity 38; 26.37°, intensity 58; 29.24°, intensity 100; 38.84°, intensity 38; 44.66°, intensity 33; 44.87°, intensity 23; 50.13°, intensity 26

Structure:
```
Cs2Np3S6
1.0
3.5147 -6.0873 0.0000
3.5147 6.0873 0.0000
-2.3417 0.0000 8.2281
Cs Np S
2 3 6
Direct
0.1667 0.8333 0.0000
0.8333 0.1667 0.0000
0.0000 0.0000 0.5000
0.3339 0.6661 0.5000
0.6661 0.3339 0.5000
0.0567 0.3914 0.6740
0.2740 0.2740 0.3258
0.3914 0.0567 0.6740
0.6086 0.9433 0.3260
0.7260 0.7260 0.6742
0.9433 0.6086 0.3260
```